Entry 1:
For RbMg6B, the GGA-PBE geometry in the Materials Project gives the calculated X-ray powder pattern in this record (Cu Kα X-rays).
No peak broadening, texture or thermal motion is included.

Largest 12 diffraction maxima, low angle first, 2θ from 5° to 70°:
two_theta	Rel. int.
14.98	56
22.69	50
24.98	74
30.22	47
30.34	48
31.39	95
33.30	31
36.44	100
40.39	33
46.33	19
50.88	19
51.26	21

```
RbMg6B
1.0
4.4667 0.0000 0.0000
0.0000 3.2260 7.4014
0.0000 -3.2260 7.4014
Rb Mg B
1 6 1
direct
0.0000 0.0000 0.0000 Rb
0.0000 0.5132 0.9576 Mg
0.0000 0.9576 0.5132 Mg
0.5000 0.1525 0.5838 Mg
0.5000 0.1819 0.1819 Mg
0.5000 0.5838 0.1525 Mg
0.5000 0.6224 0.6224 Mg
0.0000 0.3404 0.3404 B
```

Entry 2:
For BeCuBr, the GGA-PBE geometry in the Materials Project gives the calculated X-ray powder pattern in this record (Cu Kα X-rays).
No peak broadening, texture or thermal motion is included.

Largest 7 diffraction maxima, low angle first, 2θ from 5° to 70°:
two_theta	Rel. int.
25.65	100
29.71	2
42.51	89
50.31	46
61.69	14
67.93	18
69.95	1

```
BeCuBr
1.0
0.0000 3.0074 3.0074
3.0074 0.0000 3.0074
3.0074 3.0074 0.0000
Be Cu Br
1 1 1
direct
0.0000 0.0000 0.0000 Be
0.2500 0.2500 0.2500 Cu
0.5000 0.5000 0.5000 Br
```

- Number 1 is which compound?
  RbMg6B

- Number 1 is which compound?
  RbMg6B

Copy entry 2 word for word.
For BeCuBr, the GGA-PBE geometry in the Materials Project gives the calculated X-ray powder pattern in this record (Cu Kα X-rays).
No peak broadening, texture or thermal motion is included.

Largest 7 diffraction maxima, low angle first, 2θ from 5° to 70°:
two_theta	Rel. int.
25.65	100
29.71	2
42.51	89
50.31	46
61.69	14
67.93	18
69.95	1

```
BeCuBr
1.0
0.0000 3.0074 3.0074
3.0074 0.0000 3.0074
3.0074 3.0074 0.0000
Be Cu Br
1 1 1
direct
0.0000 0.0000 0.0000 Be
0.2500 0.2500 0.2500 Cu
0.5000 0.5000 0.5000 Br
```